This entry pairs a crystal structure of KAc2GaO5 with its theoretical X-ray diffraction stick pattern. Radiation: Cu Kα, 1.54184 Å. Structure: the PBE geometry in Alexandria.

Most intense lines, 15 to 90 degrees two-theta, low angle first:
| 2θ (°) | I_rel | index |
| --- | --- | --- |
| 27.83 | 46 | 2 1 0 |
| 29.07 | 100 | 2 0 1 |
| 29.95 | 39 | 0 0 2 |
| 31.69 | 100 | 2 1 1 |
| 41.34 | 63 | 2 1 2 |
| 42.67 | 23 | 3 1 1 |
| 52.64 | 40 | 4 1 0 |
| 54.28 | 33 | 3 3 0 |
| 55.02 | 37 | 4 1 1 |
| 61.76 | 27 | 4 1 2 |

```
KAc2GaO5
1.0
7.1673 0.0000 0.0000
0.0000 7.1673 0.0000
0.0000 0.0000 5.9676
K Ac Ga O
2 4 2 10
direct
0.0000 0.0000 0.0000
0.5000 0.5000 0.0000
0.1822 0.3178 0.5000
0.3178 0.8178 0.5000
0.6822 0.1822 0.5000
0.8178 0.6822 0.5000
0.0000 0.5000 0.0000
0.5000 0.0000 0.0000
0.0000 0.0000 0.5000
0.1295 0.6295 0.2344
0.1295 0.6295 0.7656
0.3705 0.1295 0.2344
0.3705 0.1295 0.7656
0.5000 0.5000 0.5000
0.6295 0.8705 0.2344
0.6295 0.8705 0.7656
0.8705 0.3705 0.2344
0.8705 0.3705 0.7656
```